1.
Diffraction record for Sr2Li2BiO6. The PXRD pattern is simulated, not measured: it uses DFT lattice parameters and positions (GGA-PBE) and Cu Kα X-rays.
Lines closer than 0.1° are merged.

```
Sr2Li2BiO6
1.0
2.9598 1.7089 5.3356
-2.9598 1.7089 5.3356
0.0000 -3.4177 5.3356
Sr Li Bi O
2 2 1 6
Direct
0.2139 0.2139 0.2139
0.7861 0.7861 0.7861
0.4224 0.4224 0.4224
0.5776 0.5776 0.5776
0.0000 0.0000 0.0000
0.2276 0.7566 0.7566
0.2434 0.2434 0.7724
0.2434 0.7724 0.2434
0.7566 0.2276 0.7566
0.7566 0.7566 0.2276
0.7724 0.2434 0.2434
```

Principal peaks in the range 5° ≤ 2θ ≤ 70°, low angle first:
18.17 deg, rel. 100; 28.29 deg, rel. 44; 30.19 deg, rel. 65; 32.99 deg, rel. 52; 35.47 deg, rel. 19; 41.85 deg, rel. 34; 45.32 deg, rel. 24; 52.47 deg, rel. 18; 55.43 deg, rel. 27; 60.76 deg, rel. 18

---

2.
Diffraction record for Li4Ta3BiO12. The PXRD pattern is simulated, not measured: it uses DFT lattice parameters and positions (GGA-PBE) and Cu Kα X-rays.
Lines closer than 0.1° are merged.

```
Li4Ta3BiO12
1.0
5.5118 3.1822 2.3982
-5.5118 3.1822 2.3982
0.0000 -6.3645 2.3982
Li Ta Bi O
4 3 1 12
Direct
0.0000 0.0000 0.0000
0.0000 0.4378 0.5622
0.4378 0.5622 0.0000
0.5622 0.0000 0.4378
0.0516 0.9484 0.5000
0.5000 0.0516 0.9484
0.9484 0.5000 0.0516
0.5000 0.5000 0.5000
0.0000 0.6061 0.3939
0.0000 0.8300 0.1700
0.1666 0.2598 0.5329
0.1700 0.0000 0.8300
0.2598 0.5329 0.1666
0.3939 0.0000 0.6061
0.4671 0.7402 0.8334
0.5329 0.1666 0.2598
0.6061 0.3939 0.0000
0.7402 0.8334 0.4671
0.8300 0.1700 0.0000
0.8334 0.4671 0.7402
```

Principal peaks in the range 5° ≤ 2θ ≤ 70°, low angle first:
16.08 deg, rel. 29; 22.35 deg, rel. 100; 27.66 deg, rel. 15; 31.13 deg, rel. 49; 32.49 deg, rel. 23; 36.15 deg, rel. 12; 39.79 deg, rel. 11; 42.39 deg, rel. 19; 50.44 deg, rel. 18; 54.52 deg, rel. 10

---

3.
Diffraction record for Li2Ti3BiO8. The PXRD pattern is simulated, not measured: it uses DFT lattice parameters and positions (GGA-PBE) and Cu Kα X-rays.
Lines closer than 0.1° are merged.

```
Li2Ti3BiO8
1.0
3.0041 1.7344 5.7240
-3.0041 1.7344 5.7240
0.0000 -3.4688 5.7240
Li Ti Bi O
2 3 1 8
Direct
0.0911 0.0911 0.0911
0.9089 0.9089 0.9089
0.0000 0.5000 0.5000
0.5000 0.0000 0.5000
0.5000 0.5000 0.0000
0.5000 0.5000 0.5000
0.2444 0.2444 0.7090
0.2444 0.7090 0.2444
0.2740 0.2740 0.2740
0.2910 0.7556 0.7556
0.7090 0.2444 0.2444
0.7260 0.7260 0.7260
0.7556 0.2910 0.7556
0.7556 0.7556 0.2910
```

Principal peaks in the range 5° ≤ 2θ ≤ 70°, low angle first:
17.81 deg, rel. 100; 19.95 deg, rel. 29; 29.74 deg, rel. 13; 31.21 deg, rel. 34; 33.69 deg, rel. 40; 36.07 deg, rel. 14; 40.55 deg, rel. 39; 46.48 deg, rel. 14; 53.71 deg, rel. 14; 55.50 deg, rel. 12

---

4.
Diffraction record for LiTlBiO4. The PXRD pattern is simulated, not measured: it uses DFT lattice parameters and positions (GGA-PBE) and Cu Kα X-rays.
Lines closer than 0.1° are merged.

```
LiTlBiO4
1.0
3.1021 -4.8231 0.0000
3.1021 4.8231 0.0000
0.0000 0.0000 6.9339
Li Tl Bi O
2 2 2 8
Direct
0.1564 0.8436 0.7500
0.8436 0.1564 0.2500
0.5000 0.5000 0.0000
0.5000 0.5000 0.5000
0.1605 0.8395 0.2500
0.8395 0.1605 0.7500
0.2371 0.2443 0.2500
0.2443 0.2371 0.7500
0.2708 0.7292 0.5171
0.2708 0.7292 0.9829
0.7292 0.2708 0.0171
0.7292 0.2708 0.4829
0.7557 0.7629 0.2500
0.7629 0.7557 0.7500
```

Principal peaks in the range 5° ≤ 2θ ≤ 70°, low angle first:
21.31 deg, rel. 67; 22.46 deg, rel. 35; 28.78 deg, rel. 50; 30.97 deg, rel. 100; 31.33 deg, rel. 74; 31.79 deg, rel. 23; 43.41 deg, rel. 40; 52.38 deg, rel. 22; 55.03 deg, rel. 32; 62.70 deg, rel. 22